Starting from a PBE-relaxed structure, the PXRD pattern of La2NdIn3Hg6 was calculated for Cu Kα, 1.54184 Å.

Largest 8 diffraction maxima, low angle first, 10° ≤ 2θ ≤ 80°:
hkl  2θ (°)  I_rel
1 0 1  20.9  53
1 1 1  29.3  93
1 1 3  31.9  76
1 1 4  34.0  89
1 1 5  36.5  55
1 0 7  36.9  93
2 0 0  41.5  100
2 1 7  56.7  53

Crystal structure
Lattice parameters (Å, degrees): 4.353 4.353 20.552 90.00 90.00 90.00
Space group P4/mmm (No. 123)
Inequivalent atoms, fractional coordinates:
1 La 0.000 0.000 0.216 (multiplicity 2)
2 Nd 0.000 0.000 0.500 (multiplicity 1)
3 In 0.500 0.500 0.000 (multiplicity 1)
4 In 0.500 0.500 0.281 (multiplicity 2)
5 Hg 0.000 0.500 0.385 (multiplicity 4)
6 Hg 0.500 0.500 0.136 (multiplicity 2)

---

Starting from a PBE-relaxed structure, the PXRD pattern of LaSmTe2Cl was calculated for Cu Kα, 1.54184 Å.

Largest 8 diffraction maxima, low angle first, 10° ≤ 2θ ≤ 80°:
hkl  2θ (°)  I_rel
0 0 4  23.5  22
1 1 0  28.4  100
1 0 4  31.0  25
1 0 5  35.9  33
1 1 4  37.2  43
2 0 0  40.6  50
1 0 9  58.6  23
2 1 9  73.7  23

Crystal structure
Lattice parameters (Å, degrees): 4.444 4.444 15.158 90.00 90.00 90.00
Space group P4/nmm (No. 129, origin choice 2)
Inequivalent atoms, fractional coordinates:
1 La 0.250 0.250 0.135 (multiplicity 2)
2 Sm 0.250 0.250 0.587 (multiplicity 2)
3 Te 0.250 0.250 0.377 (multiplicity 2)
4 Te 0.250 0.250 0.797 (multiplicity 2)
5 Cl 0.250 0.750 0.000 (multiplicity 2)

---

> Which formula does entry 1 have?

La2NdIn3Hg6